Diffraction record for PaZnCu5. The XRD peak list is theoretical, not measured: it uses a DFT-relaxed cell (GGA-PBE, Alexandria) and Cu Kα, 1.54184 Å.
Peak positions follow from Bragg's law for the DFT cell and can differ from measured ones.

Atomic structure:
a = 8.0221 Å, b = 5.0258 Å, c = 10.1667 Å
α = 90.00°, β = 90.00°, γ = 90.00°
Fractional positions:
Pa  0.2425  0.2500  0.0601
Pa  0.2575  0.7500  0.5601
Pa  0.7425  0.2500  0.4399
Pa  0.7575  0.7500  0.9399
Zn  0.1428  0.7500  0.8587
Zn  0.3572  0.2500  0.3587
Zn  0.6428  0.7500  0.6413
Zn  0.8572  0.2500  0.1413
Cu  0.0659  0.0064  0.3084
Cu  0.0659  0.4936  0.3084
Cu  0.0669  0.7500  0.0955
Cu  0.0947  0.2500  0.5163
Cu  0.1807  0.2500  0.7555
Cu  0.3193  0.7500  0.2555
Cu  0.4053  0.7500  0.0163
Cu  0.4331  0.2500  0.5955
Cu  0.4341  0.5064  0.8084
Cu  0.4341  0.9936  0.8084
Cu  0.5659  0.0064  0.1916
Cu  0.5659  0.4936  0.1916
Cu  0.5669  0.7500  0.4045
Cu  0.5947  0.2500  0.9837
Cu  0.6807  0.2500  0.7445
Cu  0.8193  0.7500  0.2445
Cu  0.9053  0.7500  0.4837
Cu  0.9331  0.2500  0.9045
Cu  0.9341  0.5064  0.6916
Cu  0.9341  0.9936  0.6916

Top 12 peaks for 2θ = 10–80°, by intensity:
hkl, 2theta, I (rel.)
3 1 1, 39.16, 100
1 0 4, 37.10, 32
3 3 1, 66.50, 23
1 1 1, 22.64, 23
1 0 5, 46.00, 21
0 2 0, 35.73, 20
0 1 3, 31.85, 18
2 2 0, 42.45, 17
0 2 2, 40.03, 16
4 1 5, 68.26, 16
1 2 3, 46.39, 13
1 2 4, 52.46, 11